The following is a computed PXRD pattern of SrCuO2. It was derived from DFT lattice parameters and positions (GGA-PBE), using Cu Kα.
Peak positions follow from Bragg's law for the DFT cell and can differ from measured ones.

a = 8.3291 Å, b = 8.3291 Å, c = 3.9743 Å
α = 90.00°, β = 90.00°, γ = 154.73°
Sites, in units of the cell vectors:
Sr (0.1674, 0.8326, 0.7500)
Sr (0.8326, 0.1674, 0.2500)
Cu (0.4378, 0.5622, 0.7500)
Cu (0.5622, 0.4378, 0.2500)
O (0.3204, 0.6796, 0.7500)
O (0.4448, 0.5552, 0.2500)
O (0.5552, 0.4448, 0.7500)
O (0.6796, 0.3204, 0.2500)

Peak list (12 most intense, 10 to 90 degrees two-theta, low angle first)
2θ = 25.04°, d = 3.556 Å, rel. 17; 2θ = 29.54°, d = 3.024 Å, rel. 65; 2θ = 31.49°, d = 2.841 Å, rel. 61; 2θ = 33.82°, d = 2.650 Å, rel. 100; 2θ = 44.60°, d = 2.032 Å, rel. 19; 2θ = 45.65°, d = 1.987 Å, rel. 30; 2θ = 46.36°, d = 1.958 Å, rel. 22; 2θ = 50.06°, d = 1.822 Å, rel. 22; 2θ = 52.06°, d = 1.757 Å, rel. 27; 2θ = 55.31°, d = 1.661 Å, rel. 24; 2θ = 60.34°, d = 1.534 Å, rel. 20; 2θ = 70.06°, d = 1.343 Å, rel. 15